Structure and simulated powder X-ray diffraction pattern of CsPmW2O8 (a GGA+U-relaxed structure; Cu Kα, 1.54184 Å).

Cell and atoms:
```
data_CsPmW2O8
_space_group_name_H-M_alt 'P -3 m 1'
_space_group_IT_number 164
_space_group_name_Hall '-P 3 2"'
_cell_length_a 6.2067
_cell_length_b 6.2067
_cell_length_c 8.4736
_cell_angle_alpha 90.00
_cell_angle_beta 90.00
_cell_angle_gamma 120.00
loop_
_atom_site_label
_atom_site_fract_x
_atom_site_fract_y
_atom_site_fract_z
Cs1 0.0000 0.0000 0.0000
Pm1 0.0000 0.0000 0.5000
W1 0.3333 0.6667 0.7377
O1 0.1721 0.3443 0.6687
O2 0.3333 0.6667 0.9474
```

Peak list (8 most intense, 2θ = 10–80°, in order of falling intensity)
| 2θ/deg | d/Å | intensity | index |
| --- | --- | --- | --- |
| 19.56 | 4.539 | 100 | 0 1 1 |
| 26.79 | 3.327 | 72 | 0 1 2 |
| 28.77 | 3.103 | 64 | 1 1 0 |
| 39.72 | 2.269 | 29 | 0 2 2 |
| 49.77 | 1.832 | 26 | 1 2 2 |
| 52.29 | 1.750 | 25 | 1 1 4 |
| 45.94 | 1.976 | 21 | 1 2 1 |
| 35.92 | 2.500 | 15 | 1 0 3 |